The following is a calculated powder X-ray diffraction pattern of Pr4NdPb4. It was derived from a cell relaxed with PBE, using copper Kα.
No peak broadening, texture or thermal motion is included.

Top 12 peaks for 2θ from 10° to 80°, in order of rising 2θ:
Position (°2θ)  intensity
16.22  7
28.64  100
34.05  33
38.77  8
40.93  23
43.05  25
47.01  20
57.65  14
59.29  9
64.10  18
67.14  18
71.68  6

```
Pr4NdPb4
1.0
9.860 0.000 0.000
0.000 9.860 0.000
0.000 0.000 6.565
Pr Nd Pb
8 2 8
Direct
0.035 0.665 0.131 Pr
0.165 0.965 0.631 Pr
0.335 0.535 0.631 Pr
0.465 0.835 0.131 Pr
0.535 0.165 0.869 Pr
0.665 0.465 0.369 Pr
0.835 0.035 0.369 Pr
0.965 0.335 0.869 Pr
0.250 0.250 0.250 Nd
0.750 0.750 0.750 Nd
0.032 0.647 0.624 Pb
0.147 0.968 0.124 Pb
0.353 0.532 0.124 Pb
0.468 0.853 0.624 Pb
0.532 0.147 0.376 Pb
0.647 0.468 0.876 Pb
0.853 0.032 0.876 Pb
0.968 0.353 0.376 Pb
```


The following is a calculated powder X-ray diffraction pattern of Pr7NdPb4. It was derived from a cell relaxed with PBE, using copper Kα.
No peak broadening, texture or thermal motion is included.

Top 12 peaks for 2θ from 10° to 80°, in order of rising 2θ:
Position (°2θ)  intensity
27.33  76
28.11  38
29.64  100
31.72  34
32.65  96
35.42  35
36.76  27
37.26  44
40.75  53
43.96  28
48.32  24
54.53  23

```
Pr7NdPb4
1.0
7.153 -3.014 0.000
7.153 3.014 0.000
-6.467 0.000 9.504
Pr Nd Pb
7 1 4
Direct
0.000 0.000 0.000 Pr
0.179 0.179 0.596 Pr
0.291 0.291 0.109 Pr
0.449 0.449 0.632 Pr
0.551 0.551 0.368 Pr
0.709 0.709 0.891 Pr
0.821 0.821 0.404 Pr
0.500 0.500 0.000 Nd
0.071 0.071 0.768 Pb
0.204 0.204 0.326 Pb
0.796 0.796 0.674 Pb
0.929 0.929 0.232 Pb
```


The following is a calculated powder X-ray diffraction pattern of Pr2Nd3Pb. It was derived from a cell relaxed with PBE, using copper Kα.
No peak broadening, texture or thermal motion is included.

Top 12 peaks for 2θ from 10° to 80°, in order of rising 2θ:
Position (°2θ)  intensity
11.17  2
30.35  100
33.95  18
35.75  16
35.85  16
50.16  25
51.53  12
58.53  15
60.92  14
61.06  14
63.15  12
71.43  2

```
Pr2Nd3Pb
1.0
5.009 0.000 0.000
0.000 15.845 0.000
0.000 0.000 5.023
Pr Nd Pb
4 6 2
Direct
0.000 0.162 0.000 Pr
0.000 0.838 0.000 Pr
0.500 0.338 0.000 Pr
0.500 0.662 0.000 Pr
0.000 0.000 0.500 Nd
0.000 0.338 0.500 Nd
0.000 0.662 0.500 Nd
0.500 0.162 0.500 Nd
0.500 0.500 0.500 Nd
0.500 0.838 0.500 Nd
0.000 0.500 0.000 Pb
0.500 0.000 0.000 Pb
```